# 1
Diffraction record for TbFe10B2. The powder XRD pattern is computed, not measured: it uses DFT lattice parameters and positions (PBE) and CuKα.
No peak broadening, texture or thermal motion is included.

Main lines, by angle (2θ from 10° to 90°):
37.3°, 2.414 Å, intensity 20; 39.1°, 2.302 Å, intensity 22; 39.5°, 2.281 Å, intensity 36; 41.5°, 2.177 Å, intensity 34; 44.3°, 2.043 Å, intensity 25; 45.2°, 2.006 Å, intensity 18; 45.6°, 1.990 Å, intensity 100; 46.0°, 1.971 Å, intensity 36

Structural model:
Lattice parameters (Å, degrees): 6.1557 6.1557 7.8759 90.00 90.00 96.83
Atoms (fractional coordinates):
Tb1 0.1150 0.8850 0.7500
Tb2 0.8850 0.1150 0.2500
Fe1 0.1118 0.4032 0.7500
Fe2 0.1676 0.8324 0.0940
Fe3 0.1676 0.8324 0.4060
Fe4 0.2335 0.2335 0.0000
Fe5 0.2335 0.2335 0.5000
Fe6 0.2426 0.4723 0.2500
Fe7 0.3874 0.6126 0.5745
Fe8 0.3874 0.6126 0.9255
Fe9 0.4032 0.1118 0.2500
Fe10 0.4723 0.2426 0.7500
Fe11 0.5277 0.7574 0.2500
Fe12 0.5968 0.8882 0.7500
Fe13 0.6126 0.3874 0.0745
Fe14 0.6126 0.3874 0.4255
Fe15 0.7574 0.5277 0.7500
Fe16 0.7665 0.7665 0.0000
Fe17 0.7665 0.7665 0.5000
Fe18 0.8324 0.1676 0.5940
Fe19 0.8324 0.1676 0.9060
Fe20 0.8882 0.5968 0.2500
B1 0.0000 0.5000 0.0000
B2 0.0000 0.5000 0.5000
B3 0.5000 0.0000 0.0000
B4 0.5000 0.0000 0.5000


# 2
Diffraction record for TbFe12B4. The powder XRD pattern is computed, not measured: it uses DFT lattice parameters and positions (PBE) and CuKα.
No peak broadening, texture or thermal motion is included.

Main lines, by angle (2θ from 10° to 90°):
29.9°, 2.984 Å, intensity 17; 39.0°, 2.311 Å, intensity 100; 46.5°, 1.953 Å, intensity 60; 62.2°, 1.492 Å, intensity 16; 65.1°, 1.433 Å, intensity 25; 75.9°, 1.253 Å, intensity 13; 78.5°, 1.218 Å, intensity 14; 81.1°, 1.186 Å, intensity 12

Structural model:
Lattice parameters (Å, degrees): 6.3292 6.3292 6.3292 109.47 109.47 109.47
Atoms (fractional coordinates):
Tb1 0.0000 0.0000 0.0000
Fe1 0.1641 0.3397 0.8244
Fe2 0.1756 0.5153 0.3397
Fe3 0.1756 0.8359 0.6603
Fe4 0.3397 0.1756 0.5153
Fe5 0.3397 0.8244 0.1641
Fe6 0.4847 0.6603 0.8244
Fe7 0.5153 0.3397 0.1756
Fe8 0.6603 0.1756 0.8359
Fe9 0.6603 0.8244 0.4847
Fe10 0.8244 0.1641 0.3397
Fe11 0.8244 0.4847 0.6603
Fe12 0.8359 0.6603 0.1756
B1 0.0000 0.0000 0.5000
B2 0.0000 0.5000 0.0000
B3 0.5000 0.0000 0.0000
B4 0.5000 0.5000 0.5000


# 3
Diffraction record for Tb4Fe3B6. The powder XRD pattern is computed, not measured: it uses DFT lattice parameters and positions (PBE) and CuKα.
No peak broadening, texture or thermal motion is included.

Main lines, by angle (2θ from 10° to 90°):
24.3°, 3.667 Å, intensity 38; 33.6°, 2.664 Å, intensity 100; 34.5°, 2.598 Å, intensity 25; 38.1°, 2.363 Å, intensity 16; 41.9°, 2.155 Å, intensity 71; 60.2°, 1.538 Å, intensity 21; 61.4°, 1.510 Å, intensity 18; 65.8°, 1.418 Å, intensity 15

Structural model:
Lattice parameters (Å, degrees): 7.9535 7.9535 7.9535 39.14 39.14 39.14
Atoms (fractional coordinates):
Tb1 0.0880 0.0880 0.0880
Tb2 0.2443 0.2443 0.2443
Tb3 0.7557 0.7557 0.7557
Tb4 0.9120 0.9120 0.9120
Fe1 0.3864 0.3864 0.3864
Fe2 0.5000 0.5000 0.5000
Fe3 0.6136 0.6136 0.6136
B1 0.0000 0.3326 0.6674
B2 0.0000 0.6674 0.3326
B3 0.3326 0.0000 0.6674
B4 0.3326 0.6674 0.0000
B5 0.6674 0.0000 0.3326
B6 0.6674 0.3326 0.0000


# 4
Diffraction record for FeTc12B6. The powder XRD pattern is computed, not measured: it uses DFT lattice parameters and positions (PBE) and CuKα.
No peak broadening, texture or thermal motion is included.

Main lines, by angle (2θ from 10° to 90°):
33.3°, 2.690 Å, intensity 27; 37.4°, 2.406 Å, intensity 96; 41.1°, 2.196 Å, intensity 61; 44.6°, 2.033 Å, intensity 100; 47.8°, 1.902 Å, intensity 19; 53.9°, 1.701 Å, intensity 12; 72.4°, 1.305 Å, intensity 49; 77.3°, 1.234 Å, intensity 40

Structural model:
Lattice parameters (Å, degrees): 6.5892 6.5892 6.5892 109.47 109.47 109.47
Atoms (fractional coordinates):
Fe1 0.0000 0.0000 0.0000
Tc1 0.1114 0.2963 0.8152
Tc2 0.1848 0.4811 0.2963
Tc3 0.1848 0.8886 0.7037
Tc4 0.2963 0.1848 0.4811
Tc5 0.2963 0.8152 0.1114
Tc6 0.4811 0.2963 0.1848
Tc7 0.5189 0.7037 0.8152
Tc8 0.7037 0.1848 0.8886
Tc9 0.7037 0.8152 0.5189
Tc10 0.8152 0.1114 0.2963
Tc11 0.8152 0.5189 0.7037
Tc12 0.8886 0.7037 0.1848
B1 0.1163 0.5000 0.6163
B2 0.3837 0.8837 0.5000
B3 0.5000 0.3837 0.8837
B4 0.5000 0.6163 0.1163
B5 0.6163 0.1163 0.5000
B6 0.8837 0.5000 0.3837